For V4PdS8, the GGA-PBE geometry in Alexandria gives the calculated PXRD pattern in this record (λ = 1.5418 Å (Cu Kα)).
Neutral-atom scattering factors, no anomalous dispersion.

The 10 most intense peaks (2θ from 10° to 90°), low angle first:
two_theta  I (rel.)
15.8  24
18.2  37
25.9  33
30.4  100
36.9  51
40.3  18
45.6  22
48.5  54
53.2  82
74.8  17

a b c (Å): 6.890 6.890 6.890
angles (deg): 60.00 60.00 60.00
Positions (direct):
V 0.111 0.111 0.111
V 0.111 0.111 0.666
V 0.111 0.666 0.111
V 0.666 0.111 0.111
Pd 0.500 0.500 0.500
S 0.362 0.362 0.362
S 0.362 0.362 0.915
S 0.362 0.915 0.362
S 0.380 0.873 0.873
S 0.873 0.380 0.873
S 0.873 0.873 0.380
S 0.873 0.873 0.873
S 0.915 0.362 0.362

=====

For V3PdS8, the GGA-PBE geometry in Alexandria gives the calculated PXRD pattern in this record (λ = 1.5418 Å (Cu Kα)).
Neutral-atom scattering factors, no anomalous dispersion.

The 10 most intense peaks (2θ from 10° to 90°), low angle first:
two_theta  I (rel.)
17.0  100
21.7  36
27.9  25
30.7  48
34.4  68
38.8  50
43.8  27
44.2  23
50.6  43
54.2  45

a b c (Å): 6.765 6.765 11.448
angles (deg): 90.00 90.00 120.00
Positions (direct):
V 0.184 0.367 0.000
V 0.184 0.816 0.000
V 0.367 0.184 0.500
V 0.633 0.816 0.000
V 0.816 0.184 0.500
V 0.816 0.633 0.500
Pd 0.333 0.667 0.278
Pd 0.667 0.333 0.778
S 0.000 0.000 0.100
S 0.000 0.000 0.600
S 0.029 0.515 0.138
S 0.170 0.339 0.406
S 0.170 0.830 0.406
S 0.333 0.667 0.867
S 0.339 0.170 0.906
S 0.485 0.515 0.138
S 0.485 0.971 0.138
S 0.515 0.029 0.638
S 0.515 0.485 0.638
S 0.661 0.830 0.406
S 0.667 0.333 0.367
S 0.830 0.170 0.906
S 0.830 0.661 0.906
S 0.971 0.485 0.638

=====

For Sb4Pd, the GGA-PBE geometry in Alexandria gives the calculated PXRD pattern in this record (λ = 1.5418 Å (Cu Kα)).
Neutral-atom scattering factors, no anomalous dispersion.

The 10 most intense peaks (2θ from 10° to 90°), low angle first:
two_theta  I (rel.)
25.8  59
29.3  100
34.0  31
34.4  44
34.9  17
38.4  19
43.3  20
46.8  17
47.6  15
48.1  19

a b c (Å): 5.940 5.916 7.872
angles (deg): 90.00 101.75 90.00
Positions (direct):
Sb 0.146 0.183 0.443
Sb 0.146 0.317 0.943
Sb 0.304 0.685 0.754
Sb 0.304 0.815 0.254
Sb 0.696 0.185 0.746
Sb 0.696 0.315 0.246
Sb 0.854 0.683 0.057
Sb 0.854 0.817 0.557
Pd 0.500 0.000 0.000
Pd 0.500 0.500 0.500

=====

For Sb2Pd5, the GGA-PBE geometry in Alexandria gives the calculated PXRD pattern in this record (λ = 1.5418 Å (Cu Kα)).
Neutral-atom scattering factors, no anomalous dispersion.

The 10 most intense peaks (2θ from 10° to 90°), low angle first:
two_theta  I (rel.)
35.4  25
36.7  40
37.3  71
39.4  91
41.0  100
41.4  56
53.3  24
65.3  22
70.8  19
81.1  14

a b c (Å): 7.172 7.172 7.443
angles (deg): 93.63 93.63 39.91
Positions (direct):
Sb 0.101 0.703 0.899
Sb 0.297 0.899 0.601
Sb 0.703 0.101 0.399
Sb 0.899 0.297 0.101
Pd 0.022 0.398 0.813
Pd 0.169 0.551 0.540
Pd 0.347 0.653 0.250
Pd 0.398 0.022 0.313
Pd 0.449 0.831 0.960
Pd 0.551 0.169 0.040
Pd 0.602 0.978 0.687
Pd 0.653 0.347 0.750
Pd 0.831 0.449 0.460
Pd 0.978 0.602 0.187

=====

For Sb7Pd20, the GGA-PBE geometry in Alexandria gives the calculated PXRD pattern in this record (λ = 1.5418 Å (Cu Kα)).
Neutral-atom scattering factors, no anomalous dispersion.

The 10 most intense peaks (2θ from 10° to 90°), low angle first:
two_theta  I (rel.)
35.2  8
36.5  16
38.4  11
39.6  86
40.1  100
45.3  16
57.6  12
71.5  8
72.5  11
72.8  9

a b c (Å): 7.825 7.825 7.825
angles (deg): 99.06 99.06 99.06
Positions (direct):
Sb 0.000 0.000 0.000
Sb 0.121 0.275 0.545
Sb 0.275 0.545 0.121
Sb 0.455 0.879 0.725
Sb 0.545 0.121 0.275
Sb 0.725 0.455 0.879
Sb 0.879 0.725 0.455
Pd 0.001 0.343 0.227
Pd 0.012 0.309 0.857
Pd 0.143 0.988 0.691
Pd 0.210 0.667 0.475
Pd 0.227 0.001 0.343
Pd 0.309 0.857 0.012
Pd 0.333 0.525 0.790
Pd 0.343 0.227 0.001
Pd 0.377 0.377 0.377
Pd 0.475 0.210 0.667
Pd 0.525 0.790 0.333
Pd 0.623 0.623 0.623
Pd 0.657 0.773 0.999
Pd 0.667 0.475 0.210
Pd 0.691 0.143 0.988
Pd 0.773 0.999 0.657
Pd 0.790 0.333 0.525
Pd 0.857 0.012 0.309
Pd 0.988 0.691 0.143
Pd 0.999 0.657 0.773

=====

For Sb3Pd5, the GGA-PBE geometry in Alexandria gives the calculated PXRD pattern in this record (λ = 1.5418 Å (Cu Kα)).
Neutral-atom scattering factors, no anomalous dispersion.

The 10 most intense peaks (2θ from 10° to 90°), low angle first:
two_theta  I (rel.)
34.2  31
35.9  27
37.3  25
37.7  100
37.9  30
40.7  23
42.3  50
45.5  23
45.8  18
73.1  20

a b c (Å): 9.961 7.966 7.430
angles (deg): 90.00 90.00 90.00
Positions (direct):
Sb 0.023 0.250 0.073
Sb 0.187 0.531 0.443
Sb 0.187 0.969 0.443
Sb 0.313 0.031 0.943
Sb 0.313 0.469 0.943
Sb 0.477 0.750 0.573
Sb 0.523 0.250 0.427
Sb 0.687 0.531 0.057
Sb 0.687 0.969 0.057
Sb 0.813 0.031 0.557
Sb 0.813 0.469 0.557
Sb 0.977 0.750 0.927
Pd 0.023 0.250 0.438
Pd 0.053 0.058 0.772
Pd 0.053 0.442 0.772
Pd 0.203 0.750 0.147
Pd 0.228 0.750 0.752
Pd 0.272 0.250 0.252
Pd 0.297 0.250 0.647
Pd 0.447 0.558 0.272
Pd 0.447 0.942 0.272
Pd 0.477 0.750 0.938
Pd 0.523 0.250 0.062
Pd 0.553 0.058 0.728
Pd 0.553 0.442 0.728
Pd 0.703 0.750 0.353
Pd 0.728 0.750 0.748
Pd 0.772 0.250 0.248
Pd 0.797 0.250 0.853
Pd 0.947 0.558 0.228
Pd 0.947 0.942 0.228
Pd 0.977 0.750 0.562

=====

For Sb3Pd8, the GGA-PBE geometry in Alexandria gives the calculated PXRD pattern in this record (λ = 1.5418 Å (Cu Kα)).
Neutral-atom scattering factors, no anomalous dispersion.

The 10 most intense peaks (2θ from 10° to 90°), low angle first:
two_theta  I (rel.)
35.5  16
38.7  93
39.5  20
40.4  100
44.1  17
46.2  17
57.2  14
68.0  10
72.4  11
76.0  15

a b c (Å): 15.213 15.213 15.213
angles (deg): 29.45 29.45 29.45
Positions (direct):
Sb 0.000 0.000 0.000
Sb 0.068 0.750 0.432
Sb 0.157 0.157 0.157
Sb 0.250 0.568 0.932
Sb 0.343 0.343 0.343
Sb 0.432 0.068 0.750
Sb 0.500 0.500 0.500
Sb 0.568 0.932 0.250
Sb 0.657 0.657 0.657
Sb 0.750 0.432 0.068
Sb 0.843 0.843 0.843
Sb 0.932 0.250 0.568
Pd 0.013 0.292 0.643
Pd 0.062 0.062 0.062
Pd 0.117 0.372 0.854
Pd 0.128 0.383 0.646
Pd 0.143 0.792 0.513
Pd 0.146 0.883 0.628
Pd 0.208 0.487 0.857
Pd 0.218 0.218 0.218
Pd 0.282 0.282 0.282
Pd 0.292 0.643 0.013
Pd 0.354 0.872 0.617
Pd 0.357 0.987 0.708
Pd 0.372 0.854 0.117
Pd 0.383 0.646 0.128
Pd 0.438 0.438 0.438
Pd 0.487 0.857 0.208
Pd 0.513 0.143 0.792
Pd 0.562 0.562 0.562
Pd 0.617 0.354 0.872
Pd 0.628 0.146 0.883
Pd 0.643 0.013 0.292
Pd 0.646 0.128 0.383
Pd 0.708 0.357 0.987
Pd 0.718 0.718 0.718
Pd 0.782 0.782 0.782
Pd 0.792 0.513 0.143
Pd 0.854 0.117 0.372
Pd 0.857 0.208 0.487
Pd 0.872 0.617 0.354
Pd 0.883 0.628 0.146
Pd 0.938 0.938 0.938
Pd 0.987 0.708 0.357

=====

For Sb2Pd17, the GGA-PBE geometry in Alexandria gives the calculated PXRD pattern in this record (λ = 1.5418 Å (Cu Kα)).
Neutral-atom scattering factors, no anomalous dispersion.

The 10 most intense peaks (2θ from 10° to 90°), low angle first:
two_theta  I (rel.)
34.3  53
38.9  31
39.6  100
39.8  59
44.0  42
44.5  85
64.9  22
68.1  22
72.2  34
74.4  21

a b c (Å): 6.984 6.984 6.984
angles (deg): 80.91 80.91 80.91
Positions (direct):
Sb 0.208 0.208 0.208
Sb 0.792 0.792 0.792
Pd 0.000 0.500 0.500
Pd 0.164 0.164 0.673
Pd 0.164 0.673 0.164
Pd 0.166 0.500 0.834
Pd 0.166 0.834 0.500
Pd 0.327 0.836 0.836
Pd 0.401 0.401 0.401
Pd 0.500 0.000 0.500
Pd 0.500 0.166 0.834
Pd 0.500 0.500 0.000
Pd 0.500 0.834 0.166
Pd 0.599 0.599 0.599
Pd 0.673 0.164 0.164
Pd 0.834 0.166 0.500
Pd 0.834 0.500 0.166
Pd 0.836 0.327 0.836
Pd 0.836 0.836 0.327

=====

For Sb2Pd5, the GGA-PBE geometry in Alexandria gives the calculated PXRD pattern in this record (λ = 1.5418 Å (Cu Kα)).
Neutral-atom scattering factors, no anomalous dispersion.

The 10 most intense peaks (2θ from 10° to 90°), low angle first:
two_theta  I (rel.)
34.7  36
37.4  35
39.1  89
41.7  90
41.8  29
42.0  100
64.5  31
73.1  16
78.2  23
80.0  19

a b c (Å): 7.242 7.242 5.772
angles (deg): 90.00 90.00 126.03
Positions (direct):
Sb 0.110 0.334 0.000
Sb 0.334 0.110 0.500
Sb 0.666 0.890 0.500
Sb 0.890 0.666 0.000
Pd 0.080 0.287 0.500
Pd 0.272 0.728 0.250
Pd 0.272 0.728 0.750
Pd 0.287 0.080 0.000
Pd 0.500 0.500 0.250
Pd 0.500 0.500 0.750
Pd 0.713 0.920 0.000
Pd 0.728 0.272 0.250
Pd 0.728 0.272 0.750
Pd 0.920 0.713 0.500

=====

For SbPd6Se, the GGA-PBE geometry in Alexandria gives the calculated PXRD pattern in this record (λ = 1.5418 Å (Cu Kα)).
Neutral-atom scattering factors, no anomalous dispersion.

The 10 most intense peaks (2θ from 10° to 90°), low angle first:
two_theta  I (rel.)
12.0  1
36.5  1
39.8  100
55.1  1
57.6  16
72.3  25
72.4  8
77.1  1
85.8  5
85.9  5

a b c (Å): 7.836 7.836 7.836
angles (deg): 33.60 33.60 33.60
Positions (direct):
Sb 0.000 0.000 0.000
Pd 0.128 0.128 0.128
Pd 0.253 0.253 0.253
Pd 0.379 0.379 0.379
Pd 0.621 0.621 0.621
Pd 0.747 0.747 0.747
Pd 0.872 0.872 0.872
Se 0.500 0.500 0.500

=====

For SbPd2Se2, the GGA-PBE geometry in Alexandria gives the calculated PXRD pattern in this record (λ = 1.5418 Å (Cu Kα)).
Neutral-atom scattering factors, no anomalous dispersion.

The 10 most intense peaks (2θ from 10° to 90°), low angle first:
two_theta  I (rel.)
15.8  44
22.4  47
32.4  47
32.5  50
36.3  100
37.2  35
38.4  46
44.4  36
44.9  39
47.9  52

a b c (Å): 8.230 4.954 11.196
angles (deg): 90.00 90.00 90.00
Positions (direct):
Sb 0.204 0.250 0.087
Sb 0.296 0.750 0.587
Sb 0.704 0.250 0.413
Sb 0.796 0.750 0.913
Pd 0.078 0.750 0.761
Pd 0.239 0.250 0.852
Pd 0.261 0.750 0.352
Pd 0.422 0.250 0.261
Pd 0.578 0.750 0.739
Pd 0.739 0.250 0.648
Pd 0.761 0.750 0.148
Pd 0.922 0.250 0.239
Se 0.078 0.750 0.165
Se 0.162 0.250 0.380
Se 0.338 0.750 0.880
Se 0.422 0.250 0.665
Se 0.578 0.750 0.335
Se 0.662 0.250 0.120
Se 0.838 0.750 0.620
Se 0.922 0.250 0.835